This entry pairs a crystal structure of BaIn2Te2Br with its calculated powder diffraction line list. Radiation: Cu Kα X-rays. Structure: a crystal structure in Alexandria, relaxed with GGA-PBE.

Crystal structure
```
BaIn2Te2Br
1.0
8.735 0.000 0.000
0.000 6.445 0.000
-2.440 0.000 8.478
Ba In Te Br
2 4 4 2
Cartesian
0.687 1.611 2.446 Ba
5.608 4.833 6.032 Ba
0.769 0.138 7.537 In
0.769 3.084 7.537 In
5.526 3.361 0.941 In
5.526 6.306 0.941 In
-0.919 1.611 5.477 Te
1.283 4.833 0.424 Te
5.012 1.611 8.054 Te
7.214 4.833 3.001 Te
2.293 4.833 5.617 Br
4.003 1.611 2.860 Br
```

Most intense lines, 10 to 80 degrees two-theta, by angle:
10.43 deg, 8.478 Å, I 61, (0 0 1)
21.76 deg, 4.084 Å, I 54, (1 1 1)
24.93 deg, 3.572 Å, I 72, (1 1 -2)
26.17 deg, 3.406 Å, I 70, (2 0 1)
28.99 deg, 3.080 Å, I 60, (2 1 -2)
29.68 deg, 3.010 Å, I 100, (1 2 0)